For In2B3SbIr8, DFT lattice parameters and positions (PBE) gives the computed XRD peak list in this record (Cu Kα (weighted mean of Kα1 and Kα2)).
Intensities are scaled so that the largest is 100.

Structure:
```
14
Lattice="2.8212 1.6288 7.7049 -2.8212 1.6288 7.7049 0.0000 -3.2576 7.7049" Properties=species:S:1:pos:R:3 pbc="T T T"
In 0.0000 0.0000 0.0000
In 0.0000 0.0000 7.8315
B 0.0000 -1.6088 11.7378
B -1.3932 0.8044 11.7378
B 1.3933 0.8044 11.7378
Sb 0.0000 0.0000 15.8504
Ir 0.0000 -1.6531 5.4469
Ir -1.4316 0.8266 5.4469
Ir -1.4078 -0.8128 10.2741
Ir 0.0000 0.0000 2.6379
Ir 0.0000 0.0000 13.1750
Ir 1.4317 0.8266 5.4469
Ir 1.4078 -0.8128 10.2741
Ir 0.0000 1.6256 10.2741
```

Largest 10 diffraction maxima, in order of rising 2θ, 2θ from 15° to 90°:
2θ (°)  I/Imax
23.09  27
34.94  60
37.63  100
40.07  69
41.82  36
46.22  49
57.88  31
64.86  19
66.26  34
77.15  37